Computed powder X-ray diffraction pattern
Compound: ZrTcMoF
Radiation: CuKα
Structure: a structure optimized by DFT (GGA+U)
Peak positions follow from Bragg's law for the DFT cell and can differ from measured ones.

Most intense lines, 2θ = 15–90°, in order of falling intensity:
2θ (°)  I (rel.)  hkl
39.65  100  1 1 1
38.16  36  0 0 2
40.20  31  0 2 0
56.62  22  0 2 2
69.97  18  1 1 3
72.69  16  1 3 1
34.01  16  1 0 1
19.79  15  0 1 0

Structure:
```
ZrTcMoF
1.0
3.179 0.000 0.000
0.000 4.487 0.000
0.000 0.000 4.717
Zr Tc Mo F
1 1 1 1
Cartesian
0.000 0.000 0.000
1.589 2.243 0.000
0.000 2.243 2.358
0.000 0.000 2.358
```